Structure and computed PXRD pattern of Li4Co3O7 (a DFT-relaxed cell (PBE+U, Alexandria); Cu Kα).
Kinematic intensities with the Lorentz-polarization factor, no thermal factor.

Largest 6 diffraction maxima, low angle first, 5° ≤ 2θ ≤ 70°:
two_theta  Rel. int.
5.35  28.9
18.58  100.0
35.53  16.5
36.95  23.1
42.71  29.6
44.90  49.3

Atomic structure:
```
Li4Co3O7
1.0
2.9143 0.0000 0.0000
0.1107 5.0226 0.0000
0.7517 0.3550 16.5042
Li Co O
8 6 14
direct
0.0000 0.0000 0.0000 Li
0.0424 0.3537 0.8569 Li
0.2071 0.0750 0.5709 Li
0.3806 0.7832 0.2853 Li
0.5000 0.5000 0.0000 Li
0.6194 0.2168 0.7147 Li
0.7929 0.9250 0.4291 Li
0.9576 0.6463 0.1431 Li
0.1231 0.7187 0.7148 Co
0.3051 0.4305 0.4274 Co
0.4432 0.1335 0.1383 Co
0.5568 0.8665 0.8617 Co
0.6949 0.5695 0.5726 Co
0.8769 0.2813 0.2852 Co
0.0018 0.3141 0.0781 O
0.1214 0.4153 0.6439 O
0.1241 0.0156 0.7856 O
0.2720 0.7289 0.5004 O
0.3643 0.1404 0.3525 O
0.3897 0.4184 0.2185 O
0.4724 0.8479 0.0801 O
0.5276 0.1521 0.9199 O
0.6103 0.5816 0.7815 O
0.6357 0.8596 0.6475 O
0.7280 0.2711 0.4996 O
0.8759 0.9844 0.2144 O
0.8786 0.5847 0.3561 O
0.9982 0.6859 0.9219 O
```